# 1
For Tb4Pm15Sm, a crystal structure in Alexandria, relaxed with GGA-PBE gives the computed X-ray powder pattern in this record (Cu Kα X-rays).

Atomic structure:
Cell: 5.1391 5.1391 25.6373 Å, 90.00 90.00 90.00°
Space group P4/mmm (No. 123)
Unique sites:
Tb 0.0000 0.0000 0.0999 (multiplicity 2)
Tb 0.0000 0.0000 0.2996 (multiplicity 2)
Pm 0.0000 0.5000 0.0000 (multiplicity 2)
Pm 0.0000 0.5000 0.1998 (multiplicity 4)
Pm 0.0000 0.5000 0.3994 (multiplicity 4)
Pm 0.5000 0.5000 0.1000 (multiplicity 2)
Pm 0.5000 0.5000 0.2994 (multiplicity 2)
Pm 0.5000 0.5000 0.5000 (multiplicity 1)
Sm 0.0000 0.0000 0.5000 (multiplicity 1)

Main lines, sorted by position (2θ from 10° to 90°):
2theta  I_rel
30.14  100
34.94  51
50.25  36
59.69  29
59.80  14
81.74  18

# 2
For Ga4AuS7, a crystal structure in Alexandria, relaxed with GGA-PBE gives the computed X-ray powder pattern in this record (Cu Kα X-rays).

Atomic structure:
Cell: 14.5278 6.6597 6.2458 Å, 90.00 90.00 90.00°
Space group Pmn2_1 (No. 31)
Unique sites:
Ga 0.1277 0.1709 0.0000 (multiplicity 4)
Ga 0.2439 0.3293 0.4758 (multiplicity 4)
Au 0.0000 0.6498 0.8778 (multiplicity 2)
S 0.0000 0.2965 0.8265 (multiplicity 2)
S 0.1172 0.1677 0.3586 (multiplicity 4)
S 0.1350 0.8547 0.8397 (multiplicity 4)
S 0.2450 0.6602 0.3523 (multiplicity 4)

Main lines, sorted by position (2θ from 10° to 90°):
2theta  I_rel
15.44  100
26.83  40
27.98  40
28.58  35
31.50  28
48.03  30